(1)
This entry pairs a crystal structure of NdGa4CuAg2 with its computed X-ray diffraction stick pattern. Radiation: λ = 1.5418 Å (Cu Kα). Structure: a DFT-relaxed cell (PBE, Alexandria).
Peak positions follow from Bragg's law for the DFT cell and can differ from measured ones.

Atomic structure:
```
data_NdGa4CuAg2
_chemical_formula_sum 'Nd3 Ga12 Cu3 Ag6'
_symmetry_space_group_name_H-M 'R -3 m'
_symmetry_Int_Tables_number 166
_symmetry_space_group_name_Hall '-R 3 2"'
_cell_length_a 4.4742
_cell_length_b 4.4742
_cell_length_c 26.0534
_cell_angle_alpha 90.00
_cell_angle_beta 90.00
_cell_angle_gamma 120.00
loop_
_atom_site_label
_atom_site_fract_x
_atom_site_fract_y
_atom_site_fract_z
Nd1 0.0000 0.0000 0.0000
Ga1 0.0000 0.0000 0.1304
Ga2 0.0000 0.0000 0.3985
Cu1 0.0000 0.0000 0.5000
Ag1 0.0000 0.0000 0.2416
```

Peak list (10 most intense, 5 to 70 degrees two-theta, sorted by position)
h k l  2theta  I (rel.)
1 0 4  26.77  16
0 1 5  28.71  18
1 0 7  33.38  8
0 1 8  36.03  97
1 1 0  40.32  100
0 0 12  41.60  5
0 1 11  44.85  12
2 0 8  55.16  27
1 1 12  59.31  10
1 0 16  61.83  12



(2)
This entry pairs a crystal structure of Dy7InS5 with its computed X-ray diffraction stick pattern. Radiation: λ = 1.5418 Å (Cu Kα). Structure: a DFT-relaxed cell (PBE, Alexandria).
Peak positions follow from Bragg's law for the DFT cell and can differ from measured ones.

Atomic structure:
```
data_Dy7InS5
_chemical_formula_sum 'Dy28 In4 S20'
_symmetry_space_group_name_H-M 'C m c m'
_symmetry_Int_Tables_number 63
_symmetry_space_group_name_Hall '-C 2c 2'
_cell_length_a 3.919
_cell_length_b 13.047
_cell_length_c 23.515
_cell_angle_alpha 90.00
_cell_angle_beta 90.00
_cell_angle_gamma 90.00
loop_
_atom_site_label
_atom_site_fract_x
_atom_site_fract_y
_atom_site_fract_z
Dy1 0.000 0.014 0.250
Dy2 0.000 0.136 0.536
Dy3 0.000 0.325 0.172
Dy4 0.000 0.407 0.610
In1 0.000 0.302 0.750
S1 0.000 0.044 0.639
S2 0.000 0.226 0.070
S3 0.000 0.500 0.000
```

Peak list (10 most intense, 5 to 70 degrees two-theta, sorted by position)
h k l  2theta  I (rel.)
1 1 4  28.21  55
0 2 7  29.92  100
1 1 5  30.46  38
1 3 2  31.66  99
1 3 3  32.81  57
0 2 8  33.44  22
0 6 5  46.01  42
2 0 0  46.33  33
0 0 14  54.65  26
2 2 7  56.14  34



(3)
This entry pairs a crystal structure of Ba3Na8Li with its computed X-ray diffraction stick pattern. Radiation: λ = 1.5418 Å (Cu Kα). Structure: a DFT-relaxed cell (PBE, Alexandria).
Peak positions follow from Bragg's law for the DFT cell and can differ from measured ones.

Atomic structure:
```
data_Ba3Na8Li
_chemical_formula_sum 'Ba9 Na24 Li3'
_symmetry_space_group_name_H-M 'R 3 m'
_symmetry_Int_Tables_number 160
_symmetry_space_group_name_Hall 'R 3 -2"'
_cell_length_a 7.1490
_cell_length_b 7.1490
_cell_length_c 34.8873
_cell_angle_alpha 90.00
_cell_angle_beta 90.00
_cell_angle_gamma 120.00
loop_
_atom_site_label
_atom_site_fract_x
_atom_site_fract_y
_atom_site_fract_z
Ba1 0.0000 0.0000 0.0000
Ba2 0.0000 0.0000 0.1282
Ba3 0.0000 0.0000 0.6215
Na1 0.0000 0.0000 0.3123
Na2 0.0000 0.0000 0.8137
Na3 0.0025 0.5012 0.0646
Na4 0.0028 0.5014 0.5613
Li1 0.0000 0.0000 0.4987
```

Peak list (10 most intense, 5 to 70 degrees two-theta, sorted by position)
h k l  2theta  I (rel.)
0 0 3  7.60  14
1 0 1  14.53  13
0 1 2  15.20  43
1 1 0  24.94  79
2 0 2  29.34  100
3 0 0  43.90  26
3 0 6  46.74  33
2 2 0  51.11  12
0 2 16  51.25  11
3 1 8  57.75  15



(4)
This entry pairs a crystal structure of Mg4Zn7 with its computed X-ray diffraction stick pattern. Radiation: λ = 1.5418 Å (Cu Kα). Structure: a DFT-relaxed cell (PBE, Alexandria).
Peak positions follow from Bragg's law for the DFT cell and can differ from measured ones.

Atomic structure:
```
data_Mg4Zn7
_chemical_formula_sum 'Mg40 Zn70'
_symmetry_space_group_name_H-M 'C 1 m 1'
_symmetry_Int_Tables_number 8
_cell_length_a 25.870
_cell_length_b 5.067
_cell_length_c 14.662
_cell_angle_alpha 90.00
_cell_angle_beta 103.04
_cell_angle_gamma 90.00
loop_
_symmetry_equiv_pos_as_xyz
'x,y,z'
'x,-y,z'
'x+1/2,y+1/2,z'
'x+1/2,-y+1/2,z'
loop_
_atom_site_label
_atom_site_fract_x
_atom_site_fract_y
_atom_site_fract_z
Mg1 0.000 0.000 0.000
Mg2 0.010 0.500 0.494
Mg3 0.022 0.500 0.304
Mg4 0.032 0.000 0.798
Mg5 0.050 0.500 0.113
Mg6 0.074 0.000 0.445
Mg7 0.141 0.500 0.500
Mg8 0.157 0.000 0.824
Mg9 0.175 0.500 0.150
Mg10 0.194 0.500 0.723
Mg11 0.211 0.000 0.047
Mg12 0.230 0.500 0.372
Mg13 0.302 0.000 0.426
Mg14 0.321 0.500 0.751
Mg15 0.337 0.000 0.075
Mg16 0.357 0.000 0.648
Mg17 0.375 0.500 0.974
Mg18 0.390 0.000 0.298
Mg19 0.458 0.500 0.352
Mg20 0.482 0.000 0.684
Zn1 0.016 0.500 0.899
Zn2 0.034 0.000 0.219
Zn3 0.086 0.252 0.647
Zn4 0.094 0.500 0.807
Zn5 0.104 0.246 0.975
Zn6 0.113 0.000 0.133
Zn7 0.121 0.258 0.301
Zn8 0.167 0.000 0.614
Zn9 0.185 0.500 0.934
Zn10 0.186 0.000 0.437
Zn11 0.203 0.000 0.260
Zn12 0.250 0.253 0.574
Zn13 0.258 0.000 0.736
Zn14 0.266 0.250 0.899
Zn15 0.273 0.500 0.062
Zn16 0.282 0.247 0.224
Zn17 0.329 0.500 0.537
Zn18 0.346 0.500 0.361
Zn19 0.347 0.000 0.864
Zn20 0.365 0.500 0.184
Zn21 0.411 0.242 0.497
Zn22 0.419 0.500 0.665
Zn23 0.428 0.254 0.823
Zn24 0.438 0.000 0.990
Zn25 0.446 0.248 0.150
Zn26 0.498 0.500 0.579
```

Peak list (10 most intense, 5 to 70 degrees two-theta, sorted by position)
h k l  2theta  I (rel.)
0 0 3  18.64  80
6 0 -1  20.68  86
2 0 3  21.36  69
7 1 -5  39.78  100
2 0 6  40.11  73
4 2 -3  41.38  88
6 2 0  41.63  93
2 2 3  41.76  97
12 0 -1  42.05  80
4 0 6  43.59  58



(5)
This entry pairs a crystal structure of TbSm6Tl3 with its computed X-ray diffraction stick pattern. Radiation: λ = 1.5418 Å (Cu Kα). Structure: a DFT-relaxed cell (PBE, Alexandria).
Peak positions follow from Bragg's law for the DFT cell and can differ from measured ones.

Atomic structure:
```
data_TbSm6Tl3
_chemical_formula_sum 'Tb4 Sm24 Tl12'
_symmetry_space_group_name_H-M 'C m c 21'
_symmetry_Int_Tables_number 36
_cell_length_a 10.618
_cell_length_b 15.763
_cell_length_c 7.823
_cell_angle_alpha 90.00
_cell_angle_beta 90.00
_cell_angle_gamma 90.00
loop_
_symmetry_equiv_pos_as_xyz
'x,y,z'
'-x,-y,z+1/2'
'-x,y,z'
'x,-y,z+1/2'
'x+1/2,y+1/2,z'
'-x+1/2,-y+1/2,z+1/2'
'-x+1/2,y+1/2,z'
'x+1/2,-y+1/2,z+1/2'
loop_
_atom_site_label
_atom_site_fract_x
_atom_site_fract_y
_atom_site_fract_z
Tb1 0.000 0.198 0.000
Sm1 0.000 0.045 0.707
Sm2 0.000 0.301 0.558
Sm3 0.232 0.313 0.209
Sm4 0.235 0.466 0.521
Tl1 0.000 0.449 0.239
Tl2 0.150 0.135 0.349
```

Peak list (10 most intense, 5 to 70 degrees two-theta, sorted by position)
h k l  2theta  I (rel.)
1 1 1  15.15  17
3 1 1  28.24  21
2 4 1  30.47  100
2 2 2  30.57  96
4 0 0  33.76  17
0 6 1  36.06  36
0 2 3  36.29  38
4 2 1  37.56  34
4 8 0  58.35  25
4 6 3  61.03  25



(6)
This entry pairs a crystal structure of Na3CuSiCO7 with its computed X-ray diffraction stick pattern. Radiation: λ = 1.5418 Å (Cu Kα). Structure: a DFT-relaxed cell (PBE, Alexandria).
Peak positions follow from Bragg's law for the DFT cell and can differ from measured ones.

Atomic structure:
```
data_Na3CuSiCO7
_chemical_formula_sum 'Na6 Cu2 Si2 C2 O14'
_symmetry_space_group_name_H-M 'P 1 21/m 1'
_symmetry_Int_Tables_number 11
_cell_length_a 5.308
_cell_length_b 6.352
_cell_length_c 9.253
_cell_angle_alpha 90.00
_cell_angle_beta 91.49
_cell_angle_gamma 90.00
loop_
_symmetry_equiv_pos_as_xyz
'x,y,z'
'-x,-y,-z'
'-x,y+1/2,-z'
'x,-y+1/2,z'
loop_
_atom_site_label
_atom_site_fract_x
_atom_site_fract_y
_atom_site_fract_z
Na1 0.220 0.250 0.102
Na2 0.251 0.504 0.736
Cu1 0.236 0.750 0.350
Si1 0.318 0.250 0.435
C1 0.293 0.750 0.055
O1 0.110 0.750 0.150
O2 0.170 0.250 0.583
O3 0.221 0.750 0.920
O4 0.258 0.051 0.321
O5 0.368 0.750 0.538
O6 0.476 0.250 0.904
```

Peak list (10 most intense, 5 to 70 degrees two-theta, sorted by position)
h k l  2theta  I (rel.)
0 0 1  9.56  100
0 1 1  16.93  44
1 0 -1  19.07  41
1 0 -2  25.21  34
0 2 0  28.10  74
2 0 0  33.79  94
0 2 2  34.22  99
1 2 1  34.43  33
2 1 -2  41.31  31
0 4 0  58.10  33



(7)
This entry pairs a crystal structure of Tb2PmPrBi4 with its computed X-ray diffraction stick pattern. Radiation: λ = 1.5418 Å (Cu Kα). Structure: a DFT-relaxed cell (PBE, Alexandria).
Peak positions follow from Bragg's law for the DFT cell and can differ from measured ones.

Atomic structure:
```
data_Tb2PmPrBi4
_chemical_formula_sum 'Tb2 Pm1 Pr1 Bi4'
_symmetry_space_group_name_H-M 'P 1 2/m 1'
_symmetry_Int_Tables_number 10
_cell_length_a 7.880
_cell_length_b 4.556
_cell_length_c 7.886
_cell_angle_alpha 90.00
_cell_angle_beta 109.49
_cell_angle_gamma 90.00
loop_
_symmetry_equiv_pos_as_xyz
'x,y,z'
'-x,-y,-z'
'-x,y,-z'
'x,-y,z'
loop_
_atom_site_label
_atom_site_fract_x
_atom_site_fract_y
_atom_site_fract_z
Tb1 0.000 0.000 0.000
Tb2 0.000 0.500 0.500
Pm1 0.500 0.000 0.500
Pr1 0.500 0.500 0.000
Bi1 0.242 0.000 0.745
Bi2 0.243 0.500 0.249
```

Peak list (8 most intense, 5 to 70 degrees two-theta, sorted by position)
h k l  2theta  I (rel.)
1 1 -1  23.94  4
1 1 1  27.71  100
0 2 0  39.59  78
0 2 2  46.80  2
0 0 4  49.01  28
2 2 2  57.23  13
1 3 -1  62.92  1
1 3 1  64.75  37



(8)
This entry pairs a crystal structure of TmPuSc2O8 with its computed X-ray diffraction stick pattern. Radiation: λ = 1.5418 Å (Cu Kα). Structure: a DFT-relaxed cell (PBE, Alexandria).
Peak positions follow from Bragg's law for the DFT cell and can differ from measured ones.

Atomic structure:
```
data_TmPuSc2O8
_chemical_formula_sum 'Tm2 Pu2 Sc4 O16'
_symmetry_space_group_name_H-M 'C m m m'
_symmetry_Int_Tables_number 65
_symmetry_space_group_name_Hall '-C 2 2'
_cell_length_a 6.909
_cell_length_b 6.944
_cell_length_c 6.705
_cell_angle_alpha 90.00
_cell_angle_beta 90.00
_cell_angle_gamma 90.00
loop_
_atom_site_label
_atom_site_fract_x
_atom_site_fract_y
_atom_site_fract_z
Tm1 0.000 0.000 0.000
Pu1 0.000 0.000 0.500
Sc1 0.000 0.500 0.232
O1 0.000 0.193 0.271
O2 0.186 0.500 0.000
O3 0.212 0.500 0.500
```

Peak list (10 most intense, 5 to 70 degrees two-theta, sorted by position)
h k l  2theta  I (rel.)
1 1 0  18.11  98
0 2 0  25.66  59
2 0 0  25.79  58
0 0 2  26.59  20
1 1 2  32.36  100
2 2 0  36.70  27
0 2 2  37.30  39
1 3 2  49.65  41
3 1 2  49.80  40
3 3 2  63.37  24